(1)
Starting from a cell relaxed with PBE, the powder diffractogram of Ce3Zn9Ru2 was calculated for Cu Ka.
Intensities are scaled so that the largest is 100.

Crystal structure
```
Ce3Zn9Ru2
1.0
-2.266 4.750 5.892
2.266 -4.750 5.892
2.266 4.750 -5.892
Ce Zn Ru
3 9 2
Direct
0.000 0.000 0.000
0.305 0.305 0.000
0.695 0.695 0.000
0.012 0.654 0.359
0.155 0.875 0.280
0.295 0.654 0.641
0.405 0.125 0.280
0.500 0.000 0.500
0.595 0.875 0.720
0.705 0.346 0.359
0.845 0.125 0.720
0.988 0.346 0.641
0.343 0.500 0.843
0.657 0.500 0.157
```

Most intense lines, 2θ from 10° to 90°, sorted by position:
2theta, d (Å), I_rel
34.6, 2.596, 38
35.7, 2.517, 100
35.9, 2.503, 27
36.4, 2.465, 45
37.6, 2.390, 36
37.9, 2.375, 41
39.8, 2.266, 67
43.7, 2.071, 40
55.0, 1.668, 27
71.8, 1.314, 24



(2)
Starting from a cell relaxed with PBE, the powder diffractogram of Ce5ZnRu6 was calculated for Cu Ka.
Intensities are scaled so that the largest is 100.

Crystal structure
```
Ce5ZnRu6
1.0
5.024 0.000 0.000
-1.194 6.962 0.000
-1.853 -3.207 6.938
Ce Zn Ru
5 1 6
Direct
0.000 0.000 0.000
0.311 0.812 0.641
0.358 0.348 0.719
0.642 0.652 0.281
0.689 0.188 0.359
0.000 0.500 0.000
0.126 0.890 0.341
0.228 0.457 0.337
0.352 0.797 0.979
0.648 0.203 0.021
0.772 0.543 0.663
0.874 0.110 0.659
```

Most intense lines, 2θ from 10° to 90°, sorted by position:
2theta, d (Å), I_rel
26.7, 3.344, 28
34.4, 2.609, 100
35.2, 2.547, 84
36.3, 2.476, 64
38.6, 2.334, 72
38.9, 2.313, 69
39.9, 2.258, 64
49.4, 1.844, 19
52.6, 1.739, 21
59.5, 1.553, 18